Entry 1:
Structure and simulated X-ray powder pattern of Li3MgIn4 (a structure optimized by DFT (GGA-PBE); a wavelength of 1.5418 Å).

Atomic structure:
a b c (Å): 10.1026 6.3174 5.2897
angles (deg): 90.00 90.00 90.00
Atoms (fractional coordinates):
Li: 0.0000 0.0000 0.0000
Li: 0.2500 0.0000 0.3537
Li: 0.2500 0.5000 0.3567
Li: 0.5000 0.0000 0.0000
Li: 0.7500 0.0000 0.6463
Li: 0.7500 0.5000 0.6433
Mg: 0.0000 0.5000 0.0000
Mg: 0.5000 0.5000 0.0000
In: 0.0000 0.2459 0.5000
In: 0.0000 0.7541 0.5000
In: 0.2500 0.2454 0.8608
In: 0.2500 0.7546 0.8608
In: 0.5000 0.2459 0.5000
In: 0.5000 0.7541 0.5000
In: 0.7500 0.2454 0.1392
In: 0.7500 0.7546 0.1392

Top 12 peaks for 10° ≤ 2θ ≤ 90°, by angle:
| Position (°2θ) | Rel. int. |
| --- | --- |
| 18.9 | 44 |
| 24.4 | 100 |
| 28.3 | 53 |
| 34.2 | 24 |
| 35.1 | 19 |
| 35.5 | 41 |
| 37.6 | 94 |
| 38.4 | 24 |
| 46.0 | 27 |
| 48.4 | 15 |
| 65.2 | 23 |
| 71.8 | 17 |

***

Entry 2:
Structure and simulated X-ray powder pattern of Li12Mg2In (a structure optimized by DFT (GGA-PBE); a wavelength of 1.5418 Å).

Atomic structure:
a b c (Å): 5.8681 5.8681 20.0421
angles (deg): 90.00 90.00 117.71
Atoms (fractional coordinates):
Li: 0.0000 0.0000 0.0707
Li: 0.0000 0.0000 0.9293
Li: 0.9997 0.4997 0.1287
Li: 0.0003 0.5003 0.8713
Li: 0.0050 0.5050 0.4194
Li: 0.0056 0.9944 0.5610
Li: 0.2500 0.2500 0.1998
Li: 0.2500 0.2500 0.3262
Li: 0.2500 0.2500 0.6738
Li: 0.2500 0.2500 0.8002
Li: 0.4944 0.5056 0.5610
Li: 0.4950 0.9950 0.4194
Li: 0.5003 0.0003 0.1287
Li: 0.4997 0.9997 0.8713
Li: 0.5000 0.5000 0.0707
Li: 0.5000 0.5000 0.9293
Li: 0.5050 0.0050 0.5806
Li: 0.5056 0.4944 0.4390
Li: 0.7500 0.7500 0.1998
Li: 0.7500 0.7500 0.3262
Li: 0.7500 0.7500 0.6738
Li: 0.7500 0.7500 0.8002
Li: 0.9944 0.0056 0.4390
Li: 0.9950 0.4950 0.5806
Mg: 0.2500 0.7500 0.2737
Mg: 0.2500 0.7500 0.7254
Mg: 0.7500 0.2500 0.2746
Mg: 0.7500 0.2500 0.7263
In: 0.2500 0.7500 0.0000
In: 0.7500 0.2500 0.0000

Top 12 peaks for 10° ≤ 2θ ≤ 90°, by angle:
| Position (°2θ) | Rel. int. |
| --- | --- |
| 13.3 | 78 |
| 17.7 | 100 |
| 18.2 | 52 |
| 22.1 | 58 |
| 25.1 | 44 |
| 34.5 | 46 |
| 35.8 | 23 |
| 36.1 | 38 |
| 37.1 | 38 |
| 39.1 | 39 |
| 40.2 | 32 |
| 50.6 | 28 |

***

Entry 3:
Structure and simulated X-ray powder pattern of Li6Mg5In2 (a structure optimized by DFT (GGA-PBE); a wavelength of 1.5418 Å).

Atomic structure:
a b c (Å): 8.2040 8.2040 8.2040
angles (deg): 60.99 60.99 60.99
Atoms (fractional coordinates):
Li: 0.0000 0.3365 0.6635
Li: 0.0000 0.6635 0.3365
Li: 0.3365 0.0000 0.6635
Li: 0.3365 0.6635 0.0000
Li: 0.6635 0.0000 0.3365
Li: 0.6635 0.3365 0.0000
Mg: 0.0776 0.0776 0.0776
Mg: 0.2242 0.2242 0.2242
Mg: 0.5000 0.5000 0.5000
Mg: 0.7758 0.7758 0.7758
Mg: 0.9224 0.9224 0.9224
In: 0.3626 0.3626 0.3626
In: 0.6374 0.6374 0.6374

Top 12 peaks for 10° ≤ 2θ ≤ 90°, by angle:
| Position (°2θ) | Rel. int. |
| --- | --- |
| 13.1 | 37 |
| 13.3 | 28 |
| 21.3 | 100 |
| 21.7 | 24 |
| 25.2 | 21 |
| 33.8 | 31 |
| 37.4 | 30 |
| 40.3 | 19 |
| 43.5 | 15 |
| 46.1 | 25 |
| 56.2 | 14 |
| 58.7 | 12 |